Entry 1:
For LiVF6, a crystal structure in the Materials Project, relaxed with PBE+U gives the theoretical powder XRD pattern in this record (copper Kα).
Intensities are scaled so that the largest is 100.

Cell and atoms:
Unit cell a=5.234 b=5.399 c=9.141 alpha=90.00 beta=124.48 gamma=90.00
Space group P2_1/c (No. 14)
Inequivalent atoms, fractional coordinates:
Li1 0.000 0.000 0.000
V1 0.500 0.000 0.500
F1 0.177 0.190 0.458
F2 0.269 0.723 0.455
F3 0.356 0.019 0.268

Main lines, by angle (5 to 70 degrees two-theta):
(hkl)  d (Å)  intensity
0 1 1  4.389  45.2
1 0 0  4.315  21.3
1 0 -2  4.283  20.6
0 0 2  3.761  100.0
1 2 0  2.288  13.3
1 0 -4  2.255  26.0
2 2 -2  1.879  17.4
2 2 0  1.686  11.1

Entry 2:
For Li3VF6, a crystal structure in the Materials Project, relaxed with PBE+U gives the theoretical powder XRD pattern in this record (copper Kα).
Intensities are scaled so that the largest is 100.

Cell and atoms:
Unit cell a=14.637 b=8.832 c=10.273 alpha=90.00 beta=96.01 gamma=90.00
Space group C2/c (No. 15)
Inequivalent atoms, fractional coordinates:
Li1 0.000 0.190 0.250
Li2 0.023 0.349 0.530
Li3 0.142 0.150 0.774
Li4 0.169 0.302 0.049
Li5 0.201 0.144 0.430
V1 0.000 0.000 0.000
V2 0.162 0.498 0.294
F1 0.072 0.002 0.169
F2 0.073 0.171 0.431
F3 0.078 0.162 0.940
F4 0.079 0.487 0.936
F5 0.092 0.339 0.193
F6 0.099 0.339 0.691
F7 0.231 0.334 0.887
F8 0.241 0.346 0.393
F9 0.249 0.021 0.842

Main lines, by angle (5 to 70 degrees two-theta):
(hkl)  d (Å)  intensity
0 2 0  4.415  39.4
1 1 -2  4.342  63.4
3 1 0  4.253  100.0
2 0 2  3.989  35.8
4 0 -2  3.123  32.6
2 2 2  2.960  29.2
3 3 -2  2.308  35.2
3 3 2  2.211  57.2

Entry 3:
For Li2VF4, a crystal structure in the Materials Project, relaxed with PBE+U gives the theoretical powder XRD pattern in this record (copper Kα).
Intensities are scaled so that the largest is 100.

Cell and atoms:
Unit cell a=5.912 b=8.720 c=3.136 alpha=90.00 beta=90.00 gamma=90.00
Space group Cmmm (No. 65)
Inequivalent atoms, fractional coordinates:
Li1 0.250 0.250 0.000
V1 0.000 0.000 0.500
F1 0.000 0.240 0.500
F2 0.234 0.000 0.000

Main lines, by angle (5 to 70 degrees two-theta):
(hkl)  d (Å)  intensity
1 1 0  4.894  100.0
0 2 0  4.360  18.5
1 1 1  2.641  28.3
1 3 0  2.609  12.4
0 4 0  2.180  30.7
2 0 1  2.151  59.0
3 1 1  1.639  9.9
2 4 1  1.531  32.3

Entry 4:
For Li2VF4, a crystal structure in the Materials Project, relaxed with PBE+U gives the theoretical powder XRD pattern in this record (copper Kα).
Intensities are scaled so that the largest is 100.

Cell and atoms:
Unit cell a=10.457 b=6.363 c=11.446 alpha=90.00 beta=122.05 gamma=90.00
Space group P2_1/c (No. 14)
Inequivalent atoms, fractional coordinates:
Li1 0.156 0.032 0.075
Li2 0.157 0.535 0.071
Li3 0.344 0.037 0.425
Li4 0.344 0.538 0.424
V1 0.000 0.217 0.749
V2 0.499 0.223 0.748
F1 0.001 0.030 0.123
F2 0.004 0.533 0.124
F3 0.234 0.711 0.884
F4 0.236 0.212 0.869
F5 0.264 0.216 0.629
F6 0.265 0.716 0.645
F7 0.499 0.024 0.122
F8 0.499 0.027 0.377

Main lines, by angle (5 to 70 degrees two-theta):
(hkl)  d (Å)  intensity
0 0 2  4.851  90.0
2 0 -2  4.765  95.3
2 0 0  4.432  76.4
0 2 2  2.660  54.1
2 2 -2  2.646  78.4
4 0 0  2.216  69.6
2 2 -4  2.127  100.0
2 2 4  1.546  39.0

Entry 5:
For Li2VF4, a crystal structure in the Materials Project, relaxed with PBE+U gives the theoretical powder XRD pattern in this record (copper Kα).
Intensities are scaled so that the largest is 100.

Cell and atoms:
Unit cell a=6.049 b=9.841 c=5.416 alpha=90.00 beta=90.00 gamma=90.00
Space group Pna2_1 (No. 33)
Inequivalent atoms, fractional coordinates:
Li1 0.025 0.217 0.000
Li2 0.141 0.909 0.112
V1 0.159 0.610 0.968
F1 0.069 0.237 0.347
F2 0.082 0.968 0.498
F3 0.094 0.509 0.627
F4 0.216 0.731 0.287

Main lines, by angle (5 to 70 degrees two-theta):
(hkl)  d (Å)  intensity
0 1 1  4.745  70.6
1 2 0  3.817  76.1
1 1 1  3.733  100.0
1 2 1  3.120  46.6
2 1 1  2.549  32.8
0 2 2  2.372  46.6
2 3 0  2.224  41.0
2 4 1  1.800  53.3

Entry 6:
For LiVF5, a crystal structure in the Materials Project, relaxed with PBE+U gives the theoretical powder XRD pattern in this record (copper Kα).
Intensities are scaled so that the largest is 100.

Cell and atoms:
Unit cell a=7.656 b=7.354 c=6.844 alpha=90.00 beta=90.00 gamma=90.00
Space group Pnma (No. 62)
Inequivalent atoms, fractional coordinates:
Li1 0.122 0.250 0.177
V1 0.124 0.750 0.255
F1 0.090 0.750 0.986
F2 0.124 0.001 0.258
F3 0.126 0.250 0.711
F4 0.160 0.750 0.523

Main lines, by angle (5 to 70 degrees two-theta):
(hkl)  d (Å)  intensity
0 1 1  5.010  100.0
0 2 0  3.677  36.4
0 0 2  3.422  27.3
2 1 0  3.395  38.4
2 0 1  3.341  50.1
0 1 3  2.179  16.2
4 0 0  1.914  16.6
0 4 0  1.838  17.4

Entry 7:
For LiVF6, a crystal structure in the Materials Project, relaxed with PBE+U gives the theoretical powder XRD pattern in this record (copper Kα).
Intensities are scaled so that the largest is 100.

Cell and atoms:
Unit cell a=14.835 b=8.946 c=10.088 alpha=90.00 beta=95.85 gamma=90.00
Space group Cc (No. 9)
Inequivalent atoms, fractional coordinates:
Li1 0.000 0.157 0.000
Li2 0.171 0.251 0.520
Li3 0.304 0.162 0.043
V1 0.005 0.495 0.979
V2 0.166 0.001 0.772
V3 0.339 0.496 0.698
F1 0.072 0.340 0.924
F2 0.076 0.493 0.633
F3 0.079 0.359 0.418
F4 0.086 0.008 0.896
F5 0.097 0.134 0.176
F6 0.111 0.152 0.676
F7 0.227 0.147 0.367
F8 0.237 0.137 0.868
F9 0.248 0.007 0.148
F10 0.257 0.496 0.313
F11 0.269 0.356 0.600
F12 0.279 0.355 0.096
F13 0.402 0.353 0.787
F14 0.408 0.361 0.285
F15 0.419 0.486 0.568
F16 0.429 0.133 0.043
F17 0.436 0.153 0.542
F18 0.437 0.003 0.823

Main lines, by angle (5 to 70 degrees two-theta):
(hkl)  d (Å)  intensity
0 2 0  4.473  31.0
3 1 0  4.306  100.0
2 0 2  3.965  17.0
4 0 -2  3.129  11.0
2 2 2  2.967  10.7
3 3 -2  2.324  12.0
3 3 2  2.226  18.0
6 0 4  1.672  10.1

Entry 8:
For Li2VF4, a crystal structure in the Materials Project, relaxed with PBE+U gives the theoretical powder XRD pattern in this record (copper Kα).
Intensities are scaled so that the largest is 100.

Cell and atoms:
Unit cell a=5.261 b=3.193 c=10.683 alpha=90.00 beta=114.46 gamma=90.00
Space group P2/c (No. 13)
Inequivalent atoms, fractional coordinates:
Li1 0.164 0.079 0.426
V1 0.500 0.435 0.750
F1 0.245 0.059 0.123
F2 0.268 0.420 0.869

Main lines, by angle (5 to 70 degrees two-theta):
(hkl)  d (Å)  intensity
0 0 2  4.862  92.5
1 0 0  4.789  96.7
1 0 -2  4.457  77.1
0 1 2  2.669  53.0
1 1 0  2.657  75.5
2 0 -4  2.229  70.4
1 1 2  2.134  100.0
3 1 -2  1.532  42.4